Starting from DFT lattice parameters and positions (GGA-PBE), the PXRD pattern of HfThSc14 was simulated for Cu Kα (weighted mean of Kα1 and Kα2).

Atomic structure:
```
data_HfThSc14
_chemical_formula_sum 'Hf2 Th2 Sc28'
_cell_length_a 9.261
_cell_length_b 9.274
_cell_length_c 9.177
_cell_angle_alpha 90.00
_cell_angle_beta 90.00
_cell_angle_gamma 90.00
_space_group_name_H-M_alt 'C m m m'
_space_group_IT_number 65
_space_group_name_Hall '-C 2 2'
loop_
_atom_site_label
_atom_site_fract_x
_atom_site_fract_y
_atom_site_fract_z
Hf1 0.000 0.000 0.000
Th1 0.000 0.500 0.000
Sc1 0.000 0.000 0.500
Sc2 0.000 0.246 0.247
Sc3 0.000 0.500 0.500
Sc4 0.246 0.000 0.247
Sc5 0.250 0.250 0.000
Sc6 0.250 0.250 0.500
```

Peak list (6 most intense, 2θ = 10–90°, by angle)
4.634 Å, 19.2°, intensity 17; 4.136 Å, 21.5°, intensity 27; 2.666 Å, 33.6°, intensity 100; 2.317 Å, 38.9°, intensity 33; 1.630 Å, 56.4°, intensity 21; 1.396 Å, 67.1°, intensity 24



Starting from DFT lattice parameters and positions (GGA-PBE), the PXRD pattern of HfTh2Sc4 was simulated for Cu Kα (weighted mean of Kα1 and Kα2).

Atomic structure:
```
data_HfTh2Sc4
_chemical_formula_sum 'Hf3 Th6 Sc12'
_cell_length_a 3.3711
_cell_length_b 3.3711
_cell_length_c 56.0366
_cell_angle_alpha 90.00
_cell_angle_beta 90.00
_cell_angle_gamma 120.00
_space_group_name_H-M_alt 'R 3 m'
_space_group_IT_number 160
_space_group_name_Hall 'R 3 -2"'
loop_
_atom_site_label
_atom_site_fract_x
_atom_site_fract_y
_atom_site_fract_z
Hf1 0.0000 0.0000 0.0000
Th1 0.0000 0.0000 0.8070
Th2 0.0000 0.0000 0.9066
Sc1 0.0000 0.0000 0.0904
Sc2 0.0000 0.0000 0.1914
Sc3 0.0000 0.0000 0.6226
Sc4 0.0000 0.0000 0.7104
```

Peak list (6 most intense, 2θ = 10–90°, by angle)
6.226 Å, 14.2°, intensity 76; 2.915 Å, 30.7°, intensity 82; 2.668 Å, 33.6°, intensity 40; 2.589 Å, 34.6°, intensity 100; 2.533 Å, 35.4°, intensity 92; 1.425 Å, 65.5°, intensity 34



Which formula does entry 1 have? HfThSc14